Entry 1:
Structure and calculated powder diffraction line list of Ba2ScPtS6 (DFT lattice parameters and positions (GGA-PBE); a wavelength of 1.5418 Å).
Neutral-atom scattering factors, no anomalous dispersion.

Principal peaks in the range 10 to 80 degrees two-theta, sorted by position:
| 2theta | I (rel.) |
| --- | --- |
| 15.67 | 27 |
| 25.72 | 100 |
| 30.26 | 14 |
| 31.64 | 11 |
| 36.70 | 51 |
| 45.35 | 44 |
| 52.87 | 34 |
| 59.70 | 20 |
| 66.08 | 12 |
| 72.16 | 23 |

```
10
Lattice="0.0000 4.8981 4.8981 4.8981 0.0000 4.8981 4.8981 4.8981 0.0000" Properties=species:S:1:pos:R:3 pbc="T T T"
Ba 2.4490 2.4490 2.4490
Ba 7.3471 7.3471 7.3471
Sc 0.0000 0.0000 0.0000
Pt 4.8981 4.8981 4.8981
S 4.8981 4.8981 2.5210
S 4.8981 2.5210 4.8981
S 7.2752 4.8981 4.8981
S 2.5210 4.8981 4.8981
S 4.8981 7.2752 4.8981
S 4.8981 4.8981 7.2752
```

Entry 2:
Structure and calculated powder diffraction line list of BaSnSbPt2 (DFT lattice parameters and positions (GGA-PBE); a wavelength of 1.5418 Å).
Neutral-atom scattering factors, no anomalous dispersion.

Principal peaks in the range 10 to 80 degrees two-theta, sorted by position:
| 2theta | I (rel.) |
| --- | --- |
| 16.46 | 31 |
| 30.98 | 81 |
| 31.22 | 48 |
| 31.45 | 100 |
| 37.32 | 59 |
| 37.87 | 68 |
| 42.55 | 40 |
| 43.30 | 39 |
| 49.99 | 26 |
| 54.22 | 40 |

```
10
Lattice="4.8201 0.0000 0.0000 0.0000 4.7519 0.0000 -0.2594 0.0000 10.7706" Properties=species:S:1:pos:R:3 pbc="T T T"
Ba 1.0994 1.1880 2.6404
Ba 3.4613 3.5639 8.1302
Sn 1.0670 3.5639 5.3801
Sn 3.4936 1.1880 5.3904
Sb 1.1713 1.1880 9.4758
Sb 3.3893 3.5639 1.2948
Pt 0.6783 3.5639 10.7462
Pt 1.0835 1.1880 6.7427
Pt 3.4772 3.5639 4.0278
Pt 3.8823 1.1880 0.0244
```

Entry 3:
Structure and calculated powder diffraction line list of Ba2ZrPtSe6 (DFT lattice parameters and positions (GGA-PBE); a wavelength of 1.5418 Å).
Neutral-atom scattering factors, no anomalous dispersion.

Principal peaks in the range 10 to 80 degrees two-theta, sorted by position:
| 2theta | I (rel.) |
| --- | --- |
| 24.26 | 85 |
| 25.06 | 76 |
| 29.31 | 46 |
| 30.16 | 56 |
| 33.37 | 83 |
| 35.74 | 100 |
| 42.19 | 37 |
| 43.66 | 75 |
| 49.70 | 77 |
| 68.63 | 38 |

```
10
Lattice="-3.5532 3.5532 5.3698 3.5532 -3.5532 5.3698 3.5532 3.5532 -5.3698" Properties=species:S:1:pos:R:3 pbc="T T T"
Ba 3.5532 0.0000 2.6849
Ba 0.0000 3.5532 2.6849
Zr 0.0000 0.0000 0.0000
Pt 0.0000 0.0000 5.3698
Se 2.2471 1.3783 0.0000
Se 0.0000 0.0000 2.7760
Se 2.1749 -1.3060 5.3698
Se 1.3783 4.8592 0.0000
Se 0.0000 0.0000 7.9636
Se 1.3060 2.1749 5.3698
```

What did the first record say?
Structure and calculated powder diffraction line list of Ba2ScPtS6 (DFT lattice parameters and positions (GGA-PBE); a wavelength of 1.5418 Å).
Neutral-atom scattering factors, no anomalous dispersion.

Principal peaks in the range 10 to 80 degrees two-theta, sorted by position:
| 2theta | I (rel.) |
| --- | --- |
| 15.67 | 27 |
| 25.72 | 100 |
| 30.26 | 14 |
| 31.64 | 11 |
| 36.70 | 51 |
| 45.35 | 44 |
| 52.87 | 34 |
| 59.70 | 20 |
| 66.08 | 12 |
| 72.16 | 23 |

```
10
Lattice="0.0000 4.8981 4.8981 4.8981 0.0000 4.8981 4.8981 4.8981 0.0000" Properties=species:S:1:pos:R:3 pbc="T T T"
Ba 2.4490 2.4490 2.4490
Ba 7.3471 7.3471 7.3471
Sc 0.0000 0.0000 0.0000
Pt 4.8981 4.8981 4.8981
S 4.8981 4.8981 2.5210
S 4.8981 2.5210 4.8981
S 7.2752 4.8981 4.8981
S 2.5210 4.8981 4.8981
S 4.8981 7.2752 4.8981
S 4.8981 4.8981 7.2752
```